1.
Diffraction record for AcDy2TmHg4. The powder diffraction line list is calculated, not measured: it uses the GGA-PBE geometry in Alexandria and copper Kα.

Atomic structure:
Cell lengths 9.6694, 9.6694, 9.6694 Å; angles 31.69, 31.69, 31.69 degrees
Element x y z (fractional)
Ac  0.0000  0.0000  0.0000
Dy  0.2441  0.2441  0.2441
Dy  0.7559  0.7559  0.7559
Tm  0.5000  0.5000  0.5000
Hg  0.1287  0.1287  0.1287
Hg  0.3868  0.3868  0.3868
Hg  0.6132  0.6132  0.6132
Hg  0.8713  0.8713  0.8713

Largest 10 diffraction maxima, in order of falling intensity, 2θ from 10° to 80°:
2θ/deg	d [Å]	Rel. int.
33.96	2.640	100
32.57	2.749	99
59.89	1.544	35
47.76	1.904	35
60.77	1.524	19
57.21	1.610	14
71.48	1.320	12
78.44	1.219	11
68.22	1.375	8
41.12	2.195	5



2.
Diffraction record for Al4GaS7. The powder diffraction line list is calculated, not measured: it uses the GGA-PBE geometry in Alexandria and copper Kα.

Atomic structure:
Cell lengths 15.3583, 6.4455, 6.1682 Å; angles 90.00, 90.00, 90.00 degrees
Element x y z (fractional)
Al  0.1238  0.1781  0.0000
Al  0.2460  0.3294  0.4666
Al  0.2540  0.6706  0.9666
Al  0.3762  0.8219  0.5000
Al  0.6238  0.8219  0.5000
Al  0.7460  0.6706  0.9666
Al  0.7540  0.3294  0.4666
Al  0.8762  0.1781  0.0000
Ga  0.0000  0.6669  0.7473
Ga  0.5000  0.3331  0.2473
S  0.0000  0.3021  0.8404
S  0.1231  0.1928  0.3563
S  0.1287  0.8413  0.8773
S  0.2430  0.3358  0.8452
S  0.2570  0.6642  0.3452
S  0.3713  0.1587  0.3773
S  0.3769  0.8072  0.8563
S  0.5000  0.6979  0.3404
S  0.6231  0.8072  0.8563
S  0.6287  0.1587  0.3773
S  0.7430  0.6642  0.3452
S  0.7570  0.3358  0.8452
S  0.8713  0.8413  0.8773
S  0.8769  0.1928  0.3563

Largest 10 diffraction maxima, in order of falling intensity, 2θ from 10° to 80°:
2θ/deg	d [Å]	Rel. int.
15.48	5.724	100
27.03	3.299	70
48.56	1.875	54
27.68	3.223	50
28.95	3.084	48
52.44	1.745	46
23.08	3.854	39
19.92	4.456	34
47.35	1.920	31
22.57	3.939	30



3.
Diffraction record for Nd2DyY3. The powder diffraction line list is calculated, not measured: it uses the GGA-PBE geometry in Alexandria and copper Kα.

Atomic structure:
Cell lengths 8.9426, 8.9426, 6.0567 Å; angles 109.72, 109.72, 66.39 degrees
Element x y z (fractional)
Nd  0.0853  0.6478  0.6161
Nd  0.3522  0.9147  0.8839
Nd  0.6478  0.0853  0.1161
Nd  0.9147  0.3522  0.3839
Dy  0.5000  0.5000  0.0000
Dy  0.5000  0.5000  0.5000
Y  0.1095  0.8905  0.2500
Y  0.1845  0.3519  0.0194
Y  0.3519  0.1845  0.5194
Y  0.6481  0.8155  0.4806
Y  0.8155  0.6481  0.9806
Y  0.8905  0.1095  0.7500

Largest 10 diffraction maxima, in order of falling intensity, 2θ from 10° to 80°:
2θ/deg	d [Å]	Rel. int.
31.37	2.852	100
31.89	2.806	74
31.13	2.873	74
28.10	3.175	37
31.61	2.831	35
53.52	1.712	34
30.57	2.924	33
29.50	3.028	27
36.77	2.444	24
34.83	2.576	22



4.
Diffraction record for Sr3Ga8Ni3. The powder diffraction line list is calculated, not measured: it uses the GGA-PBE geometry in Alexandria and copper Kα.

Atomic structure:
Cell lengths 8.3837, 8.3837, 8.3837 Å; angles 150.27, 103.82, 83.85 degrees
Element x y z (fractional)
Sr  0.0000  0.0000  0.0000
Sr  0.3206  0.3206  0.0000
Sr  0.6794  0.6794  0.0000
Ga  0.0176  0.6728  0.3448
Ga  0.1846  0.8909  0.2937
Ga  0.3280  0.6728  0.6552
Ga  0.4028  0.1091  0.2937
Ga  0.5972  0.8909  0.7063
Ga  0.6720  0.3272  0.3448
Ga  0.8154  0.1091  0.7063
Ga  0.9824  0.3272  0.6552
Ni  0.2655  0.5000  0.7655
Ni  0.5000  0.0000  0.5000
Ni  0.7345  0.5000  0.2345

Largest 10 diffraction maxima, in order of falling intensity, 2θ from 10° to 80°:
2θ/deg	d [Å]	Rel. int.
34.66	2.588	100
33.30	2.691	99
42.00	2.151	64
62.14	1.494	46
41.85	2.158	42
45.54	1.992	41
33.77	2.654	38
29.88	2.990	36
44.45	2.038	34
44.84	2.021	22



5.
Diffraction record for TlCd2Fe. The powder diffraction line list is calculated, not measured: it uses the GGA-PBE geometry in Alexandria and copper Kα.

Atomic structure:
Cell lengths 5.4500, 5.4500, 5.4500 Å; angles 134.18, 134.18, 66.81 degrees
Element x y z (fractional)
Tl  0.0000  0.0000  0.0000
Cd  0.2500  0.7500  0.5000
Cd  0.5000  0.5000  0.0000
Fe  0.7500  0.2500  0.5000

Largest 10 diffraction maxima, in order of falling intensity, 2θ from 10° to 80°:
2θ/deg	d [Å]	Rel. int.
35.85	2.505	100
42.61	2.122	31
73.60	1.287	23
59.59	1.552	22
39.62	2.275	19
69.44	1.354	14
23.13	3.846	13
75.99	1.252	11
61.85	1.500	10
19.51	4.550	9



6.
Diffraction record for YPuI4. The powder diffraction line list is calculated, not measured: it uses the GGA-PBE geometry in Alexandria and copper Kα.

Atomic structure:
Cell lengths 7.4083, 4.2410, 7.8809 Å; angles 90.00, 90.54, 90.00 degrees
Element x y z (fractional)
Y  0.0000  0.0000  0.0000
Pu  0.5000  0.5000  0.0000
I  0.1628  0.5000  0.2448
I  0.3210  0.0000  0.7518
I  0.6790  0.0000  0.2482
I  0.8372  0.5000  0.7552

Largest 10 diffraction maxima, in order of falling intensity, 2θ from 10° to 80°:
2θ/deg	d [Å]	Rel. int.
26.78	3.329	100
11.23	7.881	68
33.38	2.684	48
42.36	2.134	47
26.49	3.364	47
42.17	2.143	30
33.23	2.696	28
64.61	1.443	19
33.03	2.712	18
42.64	2.120	16



7.
Diffraction record for Ac2Hg3Au. The powder diffraction line list is calculated, not measured: it uses the GGA-PBE geometry in Alexandria and copper Kα.

Atomic structure:
Cell lengths 3.9162, 5.0474, 8.7368 Å; angles 90.00, 90.00, 90.00 degrees
Element x y z (fractional)
Ac  0.0000  0.0000  0.0000
Ac  0.0000  0.5000  0.4744
Hg  0.5000  0.0000  0.6492
Hg  0.5000  0.5000  0.1526
Hg  0.5000  0.5000  0.8165
Au  0.5000  0.0000  0.3185

Largest 10 diffraction maxima, in order of falling intensity, 2θ from 10° to 80°:
2θ/deg	d [Å]	Rel. int.
30.66	2.916	100
35.58	2.523	74
59.79	1.547	34
47.66	1.908	30
60.87	1.522	28
46.37	1.958	12
63.90	1.457	9
42.63	2.121	8
76.10	1.251	8
22.71	3.916	6



8.
Diffraction record for Er8Sc3. The powder diffraction line list is calculated, not measured: it uses the GGA-PBE geometry in Alexandria and copper Kα.

Atomic structure:
Cell lengths 15.4717, 15.4717, 15.4717 Å; angles 19.63, 19.63, 19.63 degrees
Element x y z (fractional)
Er  0.1040  0.1040  0.1040
Er  0.1837  0.1837  0.1837
Er  0.3152  0.3152  0.3152
Er  0.3880  0.3880  0.3880
Er  0.6120  0.6120  0.6120
Er  0.6848  0.6848  0.6848
Er  0.8163  0.8163  0.8163
Er  0.8960  0.8960  0.8960
Sc  0.0000  0.0000  0.0000
Sc  0.2484  0.2484  0.2484
Sc  0.7516  0.7516  0.7516

Largest 10 diffraction maxima, in order of falling intensity, 2θ from 10° to 80°:
2θ/deg	d [Å]	Rel. int.
33.99	2.637	100
33.85	2.648	74
27.67	3.224	62
60.78	1.524	46
20.96	4.239	42
48.73	1.869	27
19.82	4.479	23
44.38	2.041	17
57.06	1.614	17
37.24	2.414	17



9.
Diffraction record for LiHoZn2Ge2. The powder diffraction line list is calculated, not measured: it uses the GGA-PBE geometry in Alexandria and copper Kα.

Atomic structure:
Cell lengths 4.2547, 4.2547, 6.8063 Å; angles 90.00, 90.00, 120.00 degrees
Element x y z (fractional)
Li  0.0000  0.0000  0.0000
Ho  0.0000  0.0000  0.5000
Zn  0.3333  0.6667  0.1748
Zn  0.6667  0.3333  0.8252
Ge  0.3333  0.6667  0.7506
Ge  0.6667  0.3333  0.2494

Largest 10 diffraction maxima, in order of falling intensity, 2θ from 10° to 80°:
2θ/deg	d [Å]	Rel. int.
35.92	2.500	100
27.53	3.240	81
42.49	2.127	73
56.83	1.620	26
73.47	1.289	24
59.57	1.552	22
13.01	6.806	17
51.38	1.778	14
39.73	2.269	12
68.81	1.364	12



What did the seventh record say?
Diffraction record for Ac2Hg3Au. The powder diffraction line list is calculated, not measured: it uses the GGA-PBE geometry in Alexandria and copper Kα.

Atomic structure:
Cell lengths 3.9162, 5.0474, 8.7368 Å; angles 90.00, 90.00, 90.00 degrees
Element x y z (fractional)
Ac  0.0000  0.0000  0.0000
Ac  0.0000  0.5000  0.4744
Hg  0.5000  0.0000  0.6492
Hg  0.5000  0.5000  0.1526
Hg  0.5000  0.5000  0.8165
Au  0.5000  0.0000  0.3185

Largest 10 diffraction maxima, in order of falling intensity, 2θ from 10° to 80°:
2θ/deg	d [Å]	Rel. int.
30.66	2.916	100
35.58	2.523	74
59.79	1.547	34
47.66	1.908	30
60.87	1.522	28
46.37	1.958	12
63.90	1.457	9
42.63	2.121	8
76.10	1.251	8
22.71	3.916	6